# 1
The following is a computed X-ray diffraction stick pattern of LaHoCu2. It was derived from a cell relaxed with PBE, using Cu Kα X-rays.

Top 12 peaks for 2θ from 5° to 70°, in order of falling intensity:
- 2θ 31.41, I = 100
- 2θ 35.52, I = 97
- 2θ 28.27, I = 89
- 2θ 40.36, I = 85
- 2θ 34.98, I = 85
- 2θ 39.61, I = 64
- 2θ 53.86, I = 49
- 2θ 40.55, I = 45
- 2θ 25.44, I = 32
- 2θ 57.97, I = 31
- 2θ 29.39, I = 26
- 2θ 52.85, I = 23

Structure:
Unit cell a=4.5511 b=7.3036 c=5.4795 alpha=90.00 beta=90.00 gamma=90.00
Fractional coordinates of all 8 atoms:
La (0.0000, 0.0733, 0.0000)
La (0.5000, 0.9267, 0.5000)
Ho (0.0000, 0.5650, 0.7631)
Ho (0.5000, 0.4350, 0.2631)
Cu (0.0000, 0.2375, 0.4990)
Cu (0.0000, 0.6967, 0.2493)
Cu (0.5000, 0.3033, 0.7493)
Cu (0.5000, 0.7625, 0.9990)

# 2
The following is a computed X-ray diffraction stick pattern of TmInCoTe3. It was derived from a cell relaxed with PBE, using Cu Kα X-rays.

Top 12 peaks for 2θ from 5° to 70°, in order of falling intensity:
- 2θ 29.07, I = 100
- 2θ 40.14, I = 81
- 2θ 32.42, I = 80
- 2θ 27.05, I = 58
- 2θ 27.88, I = 50
- 2θ 44.34, I = 49
- 2θ 11.47, I = 45
- 2θ 38.70, I = 36
- 2θ 33.44, I = 33
- 2θ 50.54, I = 26
- 2θ 32.76, I = 26
- 2θ 40.44, I = 24

Structure:
Unit cell a=7.9804 b=7.9804 c=10.9363 alpha=90.00 beta=90.00 gamma=150.32
Fractional coordinates of all 12 atoms:
Tm (0.0000, 0.0000, 0.0000)
Tm (0.0000, 0.0000, 0.5000)
In (0.2471, 0.7529, 0.7500)
In (0.7529, 0.2471, 0.2500)
Co (0.4776, 0.5224, 0.2500)
Co (0.5224, 0.4776, 0.7500)
Te (0.0801, 0.9199, 0.2500)
Te (0.3663, 0.6337, 0.0748)
Te (0.3663, 0.6337, 0.4252)
Te (0.6337, 0.3663, 0.5748)
Te (0.6337, 0.3663, 0.9252)
Te (0.9199, 0.0801, 0.7500)

# 3
The following is a computed X-ray diffraction stick pattern of Ni7Pb2. It was derived from a cell relaxed with PBE, using Cu Kα X-rays.

Top 12 peaks for 2θ from 5° to 70°, in order of falling intensity:
- 2θ 7.16, I = 100
- 2θ 38.74, I = 40
- 2θ 10.75, I = 28
- 2θ 40.32, I = 24
- 2θ 49.21, I = 23
- 2θ 17.96, I = 15
- 2θ 35.98, I = 15
- 2θ 36.55, I = 11
- 2θ 64.31, I = 11
- 2θ 44.30, I = 10
- 2θ 28.92, I = 7
- 2θ 47.89, I = 6

Structure:
Unit cell a=2.8971 b=2.8971 c=24.6948 alpha=90.00 beta=90.00 gamma=120.00
Fractional coordinates of all 9 atoms:
Ni (0.0000, 0.0000, 0.0000)
Ni (0.0000, 0.0000, 0.2151)
Ni (0.0000, 0.0000, 0.7849)
Ni (0.3333, 0.6667, 0.1439)
Ni (0.3333, 0.6667, 0.9283)
Ni (0.6667, 0.3333, 0.0717)
Ni (0.6667, 0.3333, 0.8561)
Pb (0.3333, 0.6667, 0.6929)
Pb (0.6667, 0.3333, 0.3071)

# 4
The following is a computed X-ray diffraction stick pattern of CuAg19. It was derived from a cell relaxed with PBE, using Cu Kα X-rays.

Top 8 peaks for 2θ from 5° to 70°, in order of falling intensity:
- 2θ 37.57, I = 100
- 2θ 37.75, I = 98
- 2θ 43.72, I = 64
- 2θ 43.85, I = 32
- 2θ 63.57, I = 30
- 2θ 63.42, I = 10
- 2θ 63.67, I = 10
- 2θ 63.92, I = 10

Structure:
Unit cell a=6.5489 b=7.7620 c=14.5649 alpha=79.04 beta=77.13 gamma=85.19
Fractional coordinates of all 40 atoms:
Cu (0.1226, 0.1218, 0.0242)
Cu (0.8774, 0.8782, 0.9758)
Ag (0.9997, 0.4983, 0.8007)
Ag (0.0000, 0.5000, 0.0000)
Ag (0.0004, 0.5000, 0.3997)
Ag (0.9996, 0.5000, 0.6003)
Ag (0.0003, 0.5017, 0.1993)
Ag (0.1235, 0.1190, 0.8321)
Ag (0.1244, 0.1244, 0.6269)
Ag (0.1256, 0.1248, 0.2204)
Ag (0.1256, 0.1249, 0.4239)
Ag (0.2409, 0.7575, 0.0478)
Ag (0.2456, 0.7492, 0.8524)
Ag (0.2490, 0.7499, 0.6510)
Ag (0.2500, 0.7502, 0.2486)
Ag (0.2501, 0.7504, 0.4496)
Ag (0.3730, 0.3700, 0.8783)
Ag (0.3730, 0.3731, 0.0735)
Ag (0.3737, 0.3734, 0.6767)
Ag (0.3753, 0.3749, 0.4748)
Ag (0.3769, 0.3753, 0.2731)
Ag (0.4977, 0.0003, 0.0971)
Ag (0.4990, 0.9993, 0.7021)
Ag (0.5000, 0.0000, 0.5000)
Ag (0.5010, 0.0007, 0.2979)
Ag (0.5023, 0.9997, 0.9029)
Ag (0.6231, 0.6247, 0.7269)
Ag (0.6247, 0.6251, 0.5252)
Ag (0.6263, 0.6266, 0.3233)
Ag (0.6270, 0.6269, 0.9265)
Ag (0.6270, 0.6300, 0.1217)
Ag (0.7499, 0.2496, 0.5504)
Ag (0.7500, 0.2498, 0.7514)
Ag (0.7510, 0.2501, 0.3490)
Ag (0.7544, 0.2508, 0.1476)
Ag (0.7591, 0.2424, 0.9522)
Ag (0.8744, 0.8751, 0.5761)
Ag (0.8744, 0.8752, 0.7796)
Ag (0.8756, 0.8756, 0.3731)
Ag (0.8765, 0.8810, 0.1679)

# 5
The following is a computed X-ray diffraction stick pattern of LiDyW. It was derived from a cell relaxed with PBE, using Cu Kα X-rays.

Top 6 peaks for 2θ from 5° to 70°, in order of falling intensity:
- 2θ 28.59, I = 100
- 2θ 40.88, I = 82
- 2θ 67.03, I = 36
- 2θ 50.64, I = 28
- 2θ 59.19, I = 14
- 2θ 24.70, I = 1

Structure:
Unit cell a=4.4153 b=4.4153 c=4.4153 alpha=60.00 beta=60.00 gamma=60.00
Fractional coordinates of all 3 atoms:
Li (0.0000, 0.0000, 0.0000)
Dy (0.7500, 0.7500, 0.7500)
W (0.2500, 0.2500, 0.2500)